The following is a simulated X-ray powder pattern of SrCdO2. It was derived from a DFT-relaxed cell (GGA-PBE, OQMD), using Cu Kα (weighted mean of Kα1 and Kα2).

Principal peaks in the range 2θ = 10–90°, sorted by position:
31.3 deg, intensity 100
36.1 deg, intensity 66
36.5 deg, intensity 32
52.0 deg, intensity 22
52.3 deg, intensity 43
61.9 deg, intensity 29

Atomic structure:
```
data_SrCdO2
_chemical_formula_sum 'Sr2 Cd2 O4'
_cell_length_a 4.972
_cell_length_b 4.974
_cell_length_c 4.923
_cell_angle_alpha 90.00
_cell_angle_beta 90.00
_cell_angle_gamma 90.00
_space_group_name_H-M_alt 'P 1'
_space_group_IT_number 1
loop_
_space_group_symop_operation_xyz
'x,y,z'
loop_
_atom_site_label
_atom_site_type_symbol
_atom_site_fract_x
_atom_site_fract_y
_atom_site_fract_z
Sr1 Sr 0.250 0.250 0.001
Sr2 Sr 0.750 0.750 0.999
Cd1 Cd 0.250 0.750 0.499
Cd2 Cd 0.750 0.250 0.501
O1 O 0.250 0.250 0.501
O2 O 0.250 0.750 0.003
O3 O 0.750 0.250 0.997
O4 O 0.750 0.750 0.499
```



The following is a simulated X-ray powder pattern of Ho2ErAl5. It was derived from a DFT-relaxed cell (GGA-PBE, OQMD), using Cu Kα (weighted mean of Kα1 and Kα2).

Principal peaks in the range 2θ = 10–90°, sorted by position:
24.7 deg, intensity 67
27.1 deg, intensity 30
37.0 deg, intensity 100
37.2 deg, intensity 29
38.2 deg, intensity 27
58.5 deg, intensity 23

Atomic structure:
```
data_Ho2ErAl5
_chemical_formula_sum 'Ho4 Er2 Al10'
_cell_length_a 4.833
_cell_length_b 6.592
_cell_length_c 10.784
_cell_angle_alpha 90.00
_cell_angle_beta 90.00
_cell_angle_gamma 90.00
_space_group_name_H-M_alt 'P 1'
_space_group_IT_number 1
loop_
_space_group_symop_operation_xyz
'x,y,z'
loop_
_atom_site_label
_atom_site_type_symbol
_atom_site_fract_x
_atom_site_fract_y
_atom_site_fract_z
Ho1 Ho 0.000 0.000 0.000
Ho2 Ho 0.000 0.500 0.500
Ho3 Ho 0.500 0.000 0.301
Ho4 Ho 0.500 0.500 0.801
Er1 Er 0.500 0.000 0.811
Er2 Er 0.500 0.500 0.311
Al1 Al 0.000 0.000 0.501
Al2 Al 0.000 0.230 0.726
Al3 Al 0.000 0.270 0.226
Al4 Al 0.000 0.500 0.001
Al5 Al 0.000 0.730 0.226
Al6 Al 0.000 0.770 0.726
Al7 Al 0.500 0.215 0.562
Al8 Al 0.500 0.285 0.062
Al9 Al 0.500 0.715 0.062
Al10 Al 0.500 0.785 0.562
```



The following is a simulated X-ray powder pattern of Cu3Ag. It was derived from a DFT-relaxed cell (GGA-PBE, OQMD), using Cu Kα (weighted mean of Kα1 and Kα2).

Principal peaks in the range 2θ = 10–90°, sorted by position:
41.5 deg, intensity 100
41.6 deg, intensity 98
48.3 deg, intensity 62
48.4 deg, intensity 31
70.8 deg, intensity 45
85.6 deg, intensity 31

Atomic structure:
```
data_Cu3Ag
_chemical_formula_sum 'Cu6 Ag2'
_cell_length_a 6.512
_cell_length_b 5.950
_cell_length_c 4.610
_cell_angle_alpha 74.95
_cell_angle_beta 61.93
_cell_angle_gamma 43.12
_space_group_name_H-M_alt 'P 1'
_space_group_IT_number 1
loop_
_space_group_symop_operation_xyz
'x,y,z'
loop_
_atom_site_label
_atom_site_type_symbol
_atom_site_fract_x
_atom_site_fract_y
_atom_site_fract_z
Cu1 Cu 0.000 0.000 0.500
Cu2 Cu 0.118 0.118 0.882
Cu3 Cu 0.250 0.250 0.250
Cu4 Cu 0.500 0.500 0.000
Cu5 Cu 0.750 0.750 0.750
Cu6 Cu 0.882 0.882 0.118
Ag1 Ag 0.369 0.369 0.631
Ag2 Ag 0.631 0.631 0.369
```



The following is a simulated X-ray powder pattern of ZnTe6O13. It was derived from a DFT-relaxed cell (GGA-PBE, OQMD), using Cu Kα (weighted mean of Kα1 and Kα2).

Principal peaks in the range 2θ = 10–90°, sorted by position:
28.4 deg, intensity 37
28.7 deg, intensity 100
33.1 deg, intensity 51
47.4 deg, intensity 26
47.8 deg, intensity 26
56.5 deg, intensity 27

Atomic structure:
```
data_ZnTe6O13
_chemical_formula_sum 'Zn2 Te12 O26'
_cell_length_a 8.570
_cell_length_b 8.570
_cell_length_c 8.570
_cell_angle_alpha 72.01
_cell_angle_beta 72.01
_cell_angle_gamma 72.01
_space_group_name_H-M_alt 'P 1'
_space_group_IT_number 1
loop_
_space_group_symop_operation_xyz
'x,y,z'
loop_
_atom_site_label
_atom_site_type_symbol
_atom_site_fract_x
_atom_site_fract_y
_atom_site_fract_z
Zn1 Zn 0.244 0.244 0.244
Zn2 Zn 0.756 0.756 0.756
Te1 Te 0.026 0.330 0.915
Te2 Te 0.085 0.974 0.670
Te3 Te 0.167 0.570 0.483
Te4 Te 0.330 0.915 0.026
Te5 Te 0.430 0.517 0.833
Te6 Te 0.483 0.167 0.570
Te7 Te 0.517 0.833 0.430
Te8 Te 0.570 0.483 0.167
Te9 Te 0.670 0.085 0.974
Te10 Te 0.833 0.430 0.517
Te11 Te 0.915 0.026 0.330
Te12 Te 0.974 0.670 0.085
O1 O 0.043 0.136 0.388
O2 O 0.105 0.395 0.424
O3 O 0.118 0.796 0.874
O4 O 0.126 0.882 0.204
O5 O 0.136 0.388 0.043
O6 O 0.197 0.457 0.703
O7 O 0.204 0.126 0.882
O8 O 0.297 0.803 0.543
O9 O 0.388 0.043 0.136
O10 O 0.395 0.424 0.105
O11 O 0.416 0.416 0.416
O12 O 0.424 0.105 0.395
O13 O 0.457 0.703 0.197
O14 O 0.543 0.297 0.803
O15 O 0.576 0.895 0.605
O16 O 0.584 0.584 0.584
O17 O 0.605 0.576 0.895
O18 O 0.612 0.957 0.864
O19 O 0.703 0.197 0.457
O20 O 0.796 0.874 0.118
O21 O 0.803 0.543 0.297
O22 O 0.864 0.612 0.957
O23 O 0.874 0.118 0.796
O24 O 0.882 0.204 0.126
O25 O 0.895 0.605 0.576
O26 O 0.957 0.864 0.612
```



The following is a simulated X-ray powder pattern of Nd3Sn7. It was derived from a DFT-relaxed cell (GGA-PBE, OQMD), using Cu Kα (weighted mean of Kα1 and Kα2).

Principal peaks in the range 2θ = 10–90°, sorted by position:
32.7 deg, intensity 100
33.2 deg, intensity 22
39.9 deg, intensity 16
40.5 deg, intensity 15
67.9 deg, intensity 13
68.7 deg, intensity 12

Atomic structure:
```
data_Nd3Sn7
_chemical_formula_sum 'Nd3 Sn7'
_cell_length_a 13.691
_cell_length_b 13.691
_cell_length_c 4.520
_cell_angle_alpha 90.00
_cell_angle_beta 90.00
_cell_angle_gamma 161.26
_space_group_name_H-M_alt 'P 1'
_space_group_IT_number 1
loop_
_space_group_symop_operation_xyz
'x,y,z'
loop_
_atom_site_label
_atom_site_type_symbol
_atom_site_fract_x
_atom_site_fract_y
_atom_site_fract_z
Nd1 Nd 0.000 0.000 0.000
Nd2 Nd 0.312 0.688 0.500
Nd3 Nd 0.688 0.312 0.500
Sn1 Sn 0.096 0.904 0.500
Sn2 Sn 0.213 0.787 0.000
Sn3 Sn 0.404 0.596 0.000
Sn4 Sn 0.500 0.500 0.500
Sn5 Sn 0.596 0.404 0.000
Sn6 Sn 0.787 0.213 0.000
Sn7 Sn 0.904 0.096 0.500
```



The following is a simulated X-ray powder pattern of NdDyCN2O2. It was derived from a DFT-relaxed cell (GGA-PBE, OQMD), using Cu Kα (weighted mean of Kα1 and Kα2).

Principal peaks in the range 2θ = 10–90°, sorted by position:
10.8 deg, intensity 47
29.3 deg, intensity 100
34.9 deg, intensity 42
43.0 deg, intensity 21
47.9 deg, intensity 29
52.5 deg, intensity 24

Atomic structure:
```
data_NdDyCN2O2
_chemical_formula_sum 'Nd1 Dy1 C1 N2 O2'
_cell_length_a 3.795
_cell_length_b 3.795
_cell_length_c 8.227
_cell_angle_alpha 90.00
_cell_angle_beta 90.00
_cell_angle_gamma 120.00
_space_group_name_H-M_alt 'P 1'
_space_group_IT_number 1
loop_
_space_group_symop_operation_xyz
'x,y,z'
loop_
_atom_site_label
_atom_site_type_symbol
_atom_site_fract_x
_atom_site_fract_y
_atom_site_fract_z
Nd1 Nd 0.000 0.000 0.000
Dy1 Dy 0.667 0.333 0.642
C1 C 0.333 0.667 0.324
N1 N 0.333 0.667 0.173
N2 N 0.333 0.667 0.474
O1 O 0.000 0.000 0.709
O2 O 0.667 0.333 0.915
```



The following is a simulated X-ray powder pattern of Cu5Ag4. It was derived from a DFT-relaxed cell (GGA-PBE, OQMD), using Cu Kα (weighted mean of Kα1 and Kα2).

Principal peaks in the range 2θ = 10–90°, sorted by position:
39.9 deg, intensity 100
40.2 deg, intensity 48
40.8 deg, intensity 45
46.4 deg, intensity 63
47.4 deg, intensity 27
68.1 deg, intensity 17

Atomic structure:
```
data_Cu5Ag4
_chemical_formula_sum 'Cu5 Ag4'
_cell_length_a 7.210
_cell_length_b 7.210
_cell_length_c 8.100
_cell_angle_alpha 123.82
_cell_angle_beta 123.82
_cell_angle_gamma 22.38
_space_group_name_H-M_alt 'P 1'
_space_group_IT_number 1
loop_
_space_group_symop_operation_xyz
'x,y,z'
loop_
_atom_site_label
_atom_site_type_symbol
_atom_site_fract_x
_atom_site_fract_y
_atom_site_fract_z
Cu1 Cu 0.000 0.000 0.000
Cu2 Cu 0.221 0.221 0.113
Cu3 Cu 0.339 0.339 0.693
Cu4 Cu 0.661 0.661 0.307
Cu5 Cu 0.779 0.779 0.887
Ag1 Ag 0.120 0.120 0.552
Ag2 Ag 0.439 0.439 0.206
Ag3 Ag 0.561 0.561 0.794
Ag4 Ag 0.880 0.880 0.448
```



The following is a simulated X-ray powder pattern of SrFeH3. It was derived from a DFT-relaxed cell (GGA-PBE, OQMD), using Cu Kα (weighted mean of Kα1 and Kα2).

Principal peaks in the range 2θ = 10–90°, sorted by position:
24.4 deg, intensity 4
34.7 deg, intensity 100
49.9 deg, intensity 18
62.2 deg, intensity 35
73.3 deg, intensity 11
83.7 deg, intensity 15

Atomic structure:
```
data_SrFeH3
_chemical_formula_sum 'Sr2 Fe2 H6'
_cell_length_a 5.167
_cell_length_b 5.167
_cell_length_c 5.167
_cell_angle_alpha 60.00
_cell_angle_beta 60.00
_cell_angle_gamma 60.00
_space_group_name_H-M_alt 'P 1'
_space_group_IT_number 1
loop_
_space_group_symop_operation_xyz
'x,y,z'
loop_
_atom_site_label
_atom_site_type_symbol
_atom_site_fract_x
_atom_site_fract_y
_atom_site_fract_z
Sr1 Sr 0.250 0.250 0.250
Sr2 Sr 0.750 0.750 0.750
Fe1 Fe 0.000 0.000 0.000
Fe2 Fe 0.500 0.500 0.500
H1 H 0.249 0.249 0.751
H2 H 0.249 0.751 0.249
H3 H 0.249 0.751 0.751
H4 H 0.751 0.249 0.249
H5 H 0.751 0.249 0.751
H6 H 0.751 0.751 0.249
```